[1]
This entry pairs a crystal structure of ThMg2Ga2Ir with its computed powder diffractogram. Radiation: Cu Kα (λ = 1.5418 Å). Structure: a crystal structure in Alexandria, relaxed with GGA-PBE.
No peak broadening, texture or thermal motion is included.

Top 6 peaks for 2θ from 10° to 90°, by angle:
2theta  I/Imax
25.64  100
30.19  58
31.66  33
36.58  58
41.17  43
49.14  40

Structure:
```
data_ThMg2Ga2Ir
_chemical_formula_sum 'Th2 Mg4 Ga4 Ir2'
_space_group_name_H-M_alt 'I 4/m m m'
_space_group_IT_number 139
_space_group_name_Hall '-I 4 2'
_cell_length_a 4.913
_cell_length_b 4.913
_cell_length_c 11.305
_cell_angle_alpha 90.00
_cell_angle_beta 90.00
_cell_angle_gamma 90.00
loop_
_atom_site_label
_atom_site_type_symbol
_atom_site_fract_x
_atom_site_fract_y
_atom_site_fract_z
_atom_site_occupancy
Th1 Th 0.000 0.000 0.000 1
Mg1 Mg 0.000 0.500 0.250 1
Ga1 Ga 0.000 0.000 0.291 1
Ir1 Ir 0.000 0.000 0.500 1
```


[2]
This entry pairs a crystal structure of Ho2Al9Rh3 with its computed powder diffractogram. Radiation: Cu Kα (λ = 1.5418 Å). Structure: a crystal structure in Alexandria, relaxed with GGA-PBE.
No peak broadening, texture or thermal motion is included.

Top 6 peaks for 2θ from 10° to 90°, by angle:
2theta  I/Imax
25.34  57
30.22  100
30.32  50
37.06  76
37.98  45
41.47  89

Structure:
```
data_Ho2Al9Rh3
_chemical_formula_sum 'Ho8 Al36 Rh12'
_space_group_name_H-M_alt 'C 1 2/c 1'
_space_group_IT_number 15
_space_group_name_Hall '-C 2yc'
_cell_length_a 13.134
_cell_length_b 7.529
_cell_length_c 10.441
_cell_angle_alpha 90.00
_cell_angle_beta 114.81
_cell_angle_gamma 90.00
loop_
_atom_site_label
_atom_site_type_symbol
_atom_site_fract_x
_atom_site_fract_y
_atom_site_fract_z
_atom_site_occupancy
Ho1 Ho 0.169 0.083 0.250 1
Al1 Al 0.000 0.369 0.250 1
Al2 Al 0.059 0.083 0.925 1
Al3 Al 0.101 0.415 0.054 1
Al4 Al 0.104 0.315 0.748 1
Al5 Al 0.225 0.417 0.428 1
Rh1 Rh 0.086 0.242 0.501 1
Rh2 Rh 0.250 0.250 0.000 1
```


[3]
This entry pairs a crystal structure of Pr3Sm2Y with its computed powder diffractogram. Radiation: Cu Kα (λ = 1.5418 Å). Structure: a crystal structure in Alexandria, relaxed with GGA-PBE.
No peak broadening, texture or thermal motion is included.

Top 6 peaks for 2θ from 10° to 90°, by angle:
2theta  I/Imax
29.20  49
29.44  14
31.53  100
48.70  12
53.24  13
57.55  14

Structure:
```
data_Pr3Sm2Y
_chemical_formula_sum 'Pr6 Sm4 Y2'
_space_group_name_H-M_alt 'P 1 21/m 1'
_space_group_IT_number 11
_space_group_name_Hall '-P 2yb'
_cell_length_a 8.662
_cell_length_b 3.760
_cell_length_c 12.955
_cell_angle_alpha 90.00
_cell_angle_beta 90.05
_cell_angle_gamma 90.00
loop_
_atom_site_label
_atom_site_type_symbol
_atom_site_fract_x
_atom_site_fract_y
_atom_site_fract_z
_atom_site_occupancy
Pr1 Pr 0.088 0.250 0.390 1
Pr2 Pr 0.346 0.750 0.946 1
Pr3 Pr 0.395 0.750 0.252 1
Sm1 Sm 0.083 0.250 0.109 1
Sm2 Sm 0.351 0.750 0.551 1
Y1 Y 0.190 0.250 0.748 1
```


[4]
This entry pairs a crystal structure of Si3O with its computed powder diffractogram. Radiation: Cu Kα (λ = 1.5418 Å). Structure: a crystal structure in Alexandria, relaxed with GGA-PBE.
No peak broadening, texture or thermal motion is included.

Top 6 peaks for 2θ from 10° to 90°, by angle:
2theta  I/Imax
24.94  45
26.02  100
27.25  51
41.83  26
42.89  15
44.79  34

Structure:
```
data_Si3O
_chemical_formula_sum 'Si24 O8'
_space_group_name_H-M_alt 'C 1 2/c 1'
_space_group_IT_number 15
_space_group_name_Hall '-C 2yc'
_cell_length_a 17.785
_cell_length_b 4.218
_cell_length_c 8.425
_cell_angle_alpha 90.00
_cell_angle_beta 98.36
_cell_angle_gamma 90.00
loop_
_atom_site_label
_atom_site_type_symbol
_atom_site_fract_x
_atom_site_fract_y
_atom_site_fract_z
_atom_site_occupancy
Si1 Si 0.050 0.016 0.179 1
Si2 Si 0.124 0.490 0.712 1
Si3 Si 0.198 0.436 0.484 1
O1 O 0.000 0.000 0.000 1
O2 O 0.250 0.250 0.000 1
```


[5]
This entry pairs a crystal structure of NaLiMgI4 with its computed powder diffractogram. Radiation: Cu Kα (λ = 1.5418 Å). Structure: a crystal structure in Alexandria, relaxed with GGA-PBE.
No peak broadening, texture or thermal motion is included.

Top 6 peaks for 2θ from 10° to 90°, by angle:
2theta  I/Imax
24.49  98
24.62  95
28.22  47
28.52  100
40.57  90
48.07  31

Structure:
```
data_NaLiMgI4
_chemical_formula_sum 'Na4 Li4 Mg4 I16'
_space_group_name_H-M_alt 'I m m a'
_space_group_IT_number 74
_space_group_name_Hall '-I 2b 2'
_cell_length_a 8.817
_cell_length_b 8.885
_cell_length_c 12.648
_cell_angle_alpha 90.00
_cell_angle_beta 90.00
_cell_angle_gamma 90.00
loop_
_atom_site_label
_atom_site_type_symbol
_atom_site_fract_x
_atom_site_fract_y
_atom_site_fract_z
_atom_site_occupancy
Na1 Na 0.250 0.250 0.250 1
Li1 Li 0.000 0.250 0.640 1
Mg1 Mg 0.000 0.000 0.000 1
I1 I 0.000 0.000 0.230 1
I2 I 0.234 0.250 0.997 1
```


[6]
This entry pairs a crystal structure of PrGaCu2Ni with its computed powder diffractogram. Radiation: Cu Kα (λ = 1.5418 Å). Structure: a crystal structure in Alexandria, relaxed with GGA-PBE.
No peak broadening, texture or thermal motion is included.

Top 6 peaks for 2θ from 10° to 90°, by angle:
2theta  I/Imax
33.88  31
34.04  30
35.64  100
44.23  26
44.76  25
57.29  17

Structure:
```
data_PrGaCu2Ni
_chemical_formula_sum 'Pr2 Ga2 Cu4 Ni2'
_space_group_name_H-M_alt 'I m m 2'
_space_group_IT_number 44
_space_group_name_Hall 'I 2 -2'
_cell_length_a 4.050
_cell_length_b 4.095
_cell_length_c 10.401
_cell_angle_alpha 90.00
_cell_angle_beta 90.00
_cell_angle_gamma 90.00
loop_
_atom_site_label
_atom_site_type_symbol
_atom_site_fract_x
_atom_site_fract_y
_atom_site_fract_z
_atom_site_occupancy
Pr1 Pr 0.000 0.000 0.000 1
Ga1 Ga 0.000 0.500 0.755 1
Cu1 Cu 0.000 0.000 0.617 1
Cu2 Cu 0.000 0.500 0.255 1
Ni1 Ni 0.000 0.000 0.386 1
```


[7]
This entry pairs a crystal structure of Mg3CoPt12 with its computed powder diffractogram. Radiation: Cu Kα (λ = 1.5418 Å). Structure: a crystal structure in Alexandria, relaxed with GGA-PBE.
No peak broadening, texture or thermal motion is included.

Top 6 peaks for 2θ from 10° to 90°, by angle:
2theta  I/Imax
22.56  21
32.11  17
39.60  100
46.10  33
67.14  21
80.95  26

Structure:
```
data_Mg3CoPt12
_chemical_formula_sum 'Mg3 Co1 Pt12'
_space_group_name_H-M_alt 'P 4/m m m'
_space_group_IT_number 123
_space_group_name_Hall '-P 4 2'
_cell_length_a 3.938
_cell_length_b 3.938
_cell_length_c 15.797
_cell_angle_alpha 90.00
_cell_angle_beta 90.00
_cell_angle_gamma 90.00
loop_
_atom_site_label
_atom_site_type_symbol
_atom_site_fract_x
_atom_site_fract_y
_atom_site_fract_z
_atom_site_occupancy
Mg1 Mg 0.000 0.000 0.000 1
Mg2 Mg 0.000 0.000 0.251 1
Co1 Co 0.000 0.000 0.500 1
Pt1 Pt 0.000 0.500 0.126 1
Pt2 Pt 0.000 0.500 0.380 1
Pt3 Pt 0.500 0.500 0.000 1
Pt4 Pt 0.500 0.500 0.253 1
Pt5 Pt 0.500 0.500 0.500 1
```


[8]
This entry pairs a crystal structure of Tl2VCl5 with its computed powder diffractogram. Radiation: Cu Kα (λ = 1.5418 Å). Structure: a crystal structure in Alexandria, relaxed with GGA-PBE.
No peak broadening, texture or thermal motion is included.

Top 6 peaks for 2θ from 10° to 90°, by angle:
2theta  I/Imax
16.77  71
23.80  42
25.86  100
30.98  93
33.91  53
43.13  48

Structure:
```
data_Tl2VCl5
_chemical_formula_sum 'Tl4 V2 Cl10'
_space_group_name_H-M_alt 'C 1 m 1'
_space_group_IT_number 8
_space_group_name_Hall 'C -2y'
_cell_length_a 11.758
_cell_length_b 7.478
_cell_length_c 7.478
_cell_angle_alpha 90.00
_cell_angle_beta 129.43
_cell_angle_gamma 90.00
loop_
_atom_site_label
_atom_site_type_symbol
_atom_site_fract_x
_atom_site_fract_y
_atom_site_fract_z
_atom_site_occupancy
Tl1 Tl 0.000 0.000 0.000 1
Tl2 Tl 0.000 0.500 0.499 1
V1 V 0.255 0.000 0.755 1
Cl1 Cl 0.205 0.219 0.923 1
Cl2 Cl 0.207 0.219 0.488 1
Cl3 Cl 0.498 0.000 0.000 1
```